[1]
Computed X-ray powder pattern of SrGeH2O4 for CuKα, from the GGA-PBE geometry in the Materials Project.
Intensities are scaled so that the largest is 100.

Largest 8 diffraction maxima, by angle, 10 to 80 degrees two-theta:
2theta  I (rel.)
24.0  100
31.3  99
34.1  36
47.0  80
55.3  22
59.4  17
59.8  17
70.3  20

Structural model:
```
data_SrGeH2O4
_chemical_formula_sum 'Sr2 Ge2 H4 O8'
_cell_length_a 6.256
_cell_length_b 6.256
_cell_length_c 6.256
_cell_angle_alpha 107.19
_cell_angle_beta 107.19
_cell_angle_gamma 114.14
_space_group_name_H-M_alt 'P 1'
_space_group_IT_number 1
loop_
_space_group_symop_operation_xyz
'x,y,z'
loop_
_atom_site_label
_atom_site_type_symbol
_atom_site_fract_x
_atom_site_fract_y
_atom_site_fract_z
Sr1 Sr 0.000 0.000 0.000
Sr2 Sr 0.750 0.250 0.500
Ge1 Ge 0.250 0.750 0.500
Ge2 Ge 0.500 0.500 0.000
H1 H 0.203 0.125 0.578
H2 H 0.375 0.797 0.922
H3 H 0.547 0.625 0.422
H4 H 0.875 0.453 0.078
O1 O 0.004 0.422 0.242
O2 O 0.172 0.254 0.742
O3 O 0.181 0.763 0.758
O4 O 0.237 0.996 0.418
O5 O 0.513 0.431 0.258
O6 O 0.569 0.828 0.082
O7 O 0.578 0.819 0.582
O8 O 0.746 0.487 0.918
```

[2]
Computed X-ray powder pattern of CsSrF3 for CuKα, from the GGA-PBE geometry in the Materials Project.
Intensities are scaled so that the largest is 100.

Largest 8 diffraction maxima, by angle, 10 to 80 degrees two-theta:
2theta  I (rel.)
26.1  100
32.1  10
37.2  38
46.0  43
53.6  25
60.6  19
67.1  8
73.3  22

Structural model:
```
data_CsSrF3
_chemical_formula_sum 'Cs1 Sr1 F3'
_cell_length_a 4.833
_cell_length_b 4.833
_cell_length_c 4.833
_cell_angle_alpha 90.00
_cell_angle_beta 90.00
_cell_angle_gamma 90.00
_space_group_name_H-M_alt 'P 1'
_space_group_IT_number 1
loop_
_space_group_symop_operation_xyz
'x,y,z'
loop_
_atom_site_label
_atom_site_type_symbol
_atom_site_fract_x
_atom_site_fract_y
_atom_site_fract_z
Cs1 Cs 0.000 0.000 0.000
Sr1 Sr 0.500 0.500 0.500
F1 F 0.000 0.500 0.500
F2 F 0.500 0.000 0.500
F3 F 0.500 0.500 0.000
```

[3]
Computed X-ray powder pattern of GdAlPd for CuKα, from the GGA-PBE geometry in the Materials Project.
Intensities are scaled so that the largest is 100.

Largest 8 diffraction maxima, by angle, 10 to 80 degrees two-theta:
2theta  I (rel.)
24.9  30
28.8  24
33.0  78
36.1  100
38.4  22
43.6  24
43.8  22
58.0  24

Structural model:
```
data_GdAlPd
_chemical_formula_sum 'Gd3 Al3 Pd3'
_cell_length_a 7.166
_cell_length_b 7.166
_cell_length_c 4.153
_cell_angle_alpha 90.00
_cell_angle_beta 90.00
_cell_angle_gamma 120.00
_space_group_name_H-M_alt 'P 1'
_space_group_IT_number 1
loop_
_space_group_symop_operation_xyz
'x,y,z'
loop_
_atom_site_label
_atom_site_type_symbol
_atom_site_fract_x
_atom_site_fract_y
_atom_site_fract_z
Gd1 Gd 0.000 0.582 0.000
Gd2 Gd 0.418 0.418 0.000
Gd3 Gd 0.582 0.000 0.000
Al1 Al 0.000 0.235 0.500
Al2 Al 0.235 0.000 0.500
Al3 Al 0.765 0.765 0.500
Pd1 Pd 0.000 0.000 0.000
Pd2 Pd 0.333 0.667 0.500
Pd3 Pd 0.667 0.333 0.500
```

[4]
Computed X-ray powder pattern of Sc3RuC4 for CuKα, from the GGA-PBE geometry in the Materials Project.
Intensities are scaled so that the largest is 100.

Largest 8 diffraction maxima, by angle, 10 to 80 degrees two-theta:
2theta  I (rel.)
14.3  36
21.0  25
34.6  15
36.5  100
40.1  20
41.5  19
44.7  32
53.9  15

Structural model:
```
data_Sc3RuC4
_chemical_formula_sum 'Sc6 Ru2 C8'
_cell_length_a 6.812
_cell_length_b 6.812
_cell_length_c 6.661
_cell_angle_alpha 104.13
_cell_angle_beta 104.13
_cell_angle_gamma 38.58
_space_group_name_H-M_alt 'P 1'
_space_group_IT_number 1
loop_
_space_group_symop_operation_xyz
'x,y,z'
loop_
_atom_site_label
_atom_site_type_symbol
_atom_site_fract_x
_atom_site_fract_y
_atom_site_fract_z
Sc1 Sc 0.000 0.000 0.000
Sc2 Sc 0.000 0.000 0.500
Sc3 Sc 0.309 0.309 0.406
Sc4 Sc 0.311 0.311 0.908
Sc5 Sc 0.689 0.689 0.092
Sc6 Sc 0.691 0.691 0.594
Ru1 Ru 0.500 0.500 0.262
Ru2 Ru 0.500 0.500 0.738
C1 C 0.029 0.712 0.186
C2 C 0.031 0.712 0.685
C3 C 0.288 0.969 0.315
C4 C 0.288 0.971 0.814
C5 C 0.712 0.029 0.186
C6 C 0.712 0.031 0.685
C7 C 0.969 0.288 0.315
C8 C 0.971 0.288 0.814
```

[5]
Computed X-ray powder pattern of K2RbPt for CuKα, from the GGA-PBE geometry in the Materials Project.
Intensities are scaled so that the largest is 100.

Largest 8 diffraction maxima, by angle, 10 to 80 degrees two-theta:
2theta  I (rel.)
16.3  56
23.2  51
28.5  100
33.0  30
37.0  35
40.7  33
47.3  29
50.4  22

Structural model:
```
data_K2RbPt
_chemical_formula_sum 'K4 Rb2 Pt2'
_cell_length_a 7.675
_cell_length_b 7.675
_cell_length_c 5.446
_cell_angle_alpha 90.00
_cell_angle_beta 90.00
_cell_angle_gamma 90.00
_space_group_name_H-M_alt 'P 1'
_space_group_IT_number 1
loop_
_space_group_symop_operation_xyz
'x,y,z'
loop_
_atom_site_label
_atom_site_type_symbol
_atom_site_fract_x
_atom_site_fract_y
_atom_site_fract_z
K1 K 0.177 0.323 0.000
K2 K 0.323 0.823 0.000
K3 K 0.677 0.177 0.000
K4 K 0.823 0.677 0.000
Rb1 Rb 0.000 0.000 0.500
Rb2 Rb 0.500 0.500 0.500
Pt1 Pt 0.000 0.500 0.500
Pt2 Pt 0.500 0.000 0.500
```

[6]
Computed X-ray powder pattern of LaMg14Si for CuKα, from the GGA-PBE geometry in the Materials Project.
Intensities are scaled so that the largest is 100.

Largest 8 diffraction maxima, by angle, 10 to 80 degrees two-theta:
2theta  I (rel.)
18.2  30
23.6  20
32.3  31
34.7  40
35.9  59
36.8  100
63.6  21
67.9  20

Structural model:
```
data_LaMg14Si
_chemical_formula_sum 'La1 Mg14 Si1'
_cell_length_a 10.331
_cell_length_b 6.534
_cell_length_c 6.534
_cell_angle_alpha 57.95
_cell_angle_beta 90.00
_cell_angle_gamma 90.00
_space_group_name_H-M_alt 'P 1'
_space_group_IT_number 1
loop_
_space_group_symop_operation_xyz
'x,y,z'
loop_
_atom_site_label
_atom_site_type_symbol
_atom_site_fract_x
_atom_site_fract_y
_atom_site_fract_z
La1 La 0.000 0.000 0.000
Mg1 Mg 0.000 0.011 0.493
Mg2 Mg 0.000 0.493 0.011
Mg3 Mg 0.235 0.654 0.654
Mg4 Mg 0.256 0.165 0.652
Mg5 Mg 0.256 0.652 0.165
Mg6 Mg 0.262 0.162 0.162
Mg7 Mg 0.500 0.497 0.497
Mg8 Mg 0.500 0.498 0.990
Mg9 Mg 0.500 0.990 0.498
Mg10 Mg 0.500 0.994 0.994
Mg11 Mg 0.738 0.162 0.162
Mg12 Mg 0.744 0.165 0.652
Mg13 Mg 0.744 0.652 0.165
Mg14 Mg 0.765 0.654 0.654
Si1 Si 0.000 0.481 0.481
```

[7]
Computed X-ray powder pattern of Sc3Co2Si3 for CuKα, from the GGA-PBE geometry in the Materials Project.
Intensities are scaled so that the largest is 100.

Largest 8 diffraction maxima, by angle, 10 to 80 degrees two-theta:
2theta  I (rel.)
13.8  32
17.9  40
36.2  84
37.4  89
41.5  100
42.1  33
42.4  36
46.3  80

Structural model:
```
data_Sc3Co2Si3
_chemical_formula_sum 'Sc6 Co4 Si6'
_cell_length_a 5.341
_cell_length_b 5.341
_cell_length_c 12.802
_cell_angle_alpha 90.00
_cell_angle_beta 90.00
_cell_angle_gamma 136.87
_space_group_name_H-M_alt 'P 1'
_space_group_IT_number 1
loop_
_space_group_symop_operation_xyz
'x,y,z'
loop_
_atom_site_label
_atom_site_type_symbol
_atom_site_fract_x
_atom_site_fract_y
_atom_site_fract_z
Sc1 Sc 0.080 0.920 0.613
Sc2 Sc 0.080 0.920 0.887
Sc3 Sc 0.357 0.643 0.750
Sc4 Sc 0.643 0.357 0.250
Sc5 Sc 0.920 0.080 0.113
Sc6 Sc 0.920 0.080 0.387
Co1 Co 0.215 0.785 0.083
Co2 Co 0.215 0.785 0.417
Co3 Co 0.785 0.215 0.583
Co4 Co 0.785 0.215 0.917
Si1 Si 0.336 0.664 0.250
Si2 Si 0.386 0.614 0.541
Si3 Si 0.386 0.614 0.959
Si4 Si 0.614 0.386 0.041
Si5 Si 0.614 0.386 0.459
Si6 Si 0.664 0.336 0.750
```

[8]
Computed X-ray powder pattern of MgHg2Sb4O12 for CuKα, from the GGA-PBE geometry in the Materials Project.
Intensities are scaled so that the largest is 100.

Largest 8 diffraction maxima, by angle, 10 to 80 degrees two-theta:
2theta  I (rel.)
24.2  100
24.4  98
32.2  81
32.4  80
47.8  35
48.0  33
48.2  33
48.4  33

Structural model:
```
data_MgHg2Sb4O12
_chemical_formula_sum 'Mg1 Hg2 Sb4 O12'
_cell_length_a 5.127
_cell_length_b 9.846
_cell_length_c 5.227
_cell_angle_alpha 90.00
_cell_angle_beta 90.37
_cell_angle_gamma 90.00
_space_group_name_H-M_alt 'P 1'
_space_group_IT_number 1
loop_
_space_group_symop_operation_xyz
'x,y,z'
loop_
_atom_site_label
_atom_site_type_symbol
_atom_site_fract_x
_atom_site_fract_y
_atom_site_fract_z
Mg1 Mg 0.000 0.000 0.000
Hg1 Hg 0.000 0.422 0.500
Hg2 Hg 0.500 0.899 0.000
Sb1 Sb 0.000 0.101 0.500
Sb2 Sb 0.000 0.741 0.500
Sb3 Sb 0.500 0.255 0.000
Sb4 Sb 0.500 0.583 0.000
O1 O 0.151 0.922 0.688
O2 O 0.216 0.604 0.712
O3 O 0.219 0.231 0.716
O4 O 0.274 0.101 0.195
O5 O 0.282 0.729 0.210
O6 O 0.325 0.418 0.171
O7 O 0.675 0.418 0.829
O8 O 0.718 0.729 0.790
O9 O 0.726 0.101 0.805
O10 O 0.781 0.231 0.284
O11 O 0.784 0.604 0.288
O12 O 0.849 0.922 0.312
```

[9]
Computed X-ray powder pattern of HoAsSe for CuKα, from the GGA-PBE geometry in the Materials Project.
Intensities are scaled so that the largest is 100.

Largest 8 diffraction maxima, by angle, 10 to 80 degrees two-theta:
2theta  I (rel.)
24.9  36
30.6  25
32.4  24
34.0  41
38.5  100
46.4  16
46.6  16
68.6  12

Structural model:
```
data_HoAsSe
_chemical_formula_sum 'Ho2 As2 Se2'
_cell_length_a 3.899
_cell_length_b 3.918
_cell_length_c 8.762
_cell_angle_alpha 90.00
_cell_angle_beta 90.00
_cell_angle_gamma 90.00
_space_group_name_H-M_alt 'P 1'
_space_group_IT_number 1
loop_
_space_group_symop_operation_xyz
'x,y,z'
loop_
_atom_site_label
_atom_site_type_symbol
_atom_site_fract_x
_atom_site_fract_y
_atom_site_fract_z
Ho1 Ho 0.250 0.250 0.222
Ho2 Ho 0.750 0.750 0.778
As1 As 0.250 0.750 0.498
As2 As 0.750 0.250 0.502
Se1 Se 0.250 0.250 0.876
Se2 Se 0.750 0.750 0.124
```

[10]
Computed X-ray powder pattern of CsKICl for CuKα, from the GGA-PBE geometry in the Materials Project.
Intensities are scaled so that the largest is 100.

Largest 8 diffraction maxima, by angle, 10 to 80 degrees two-theta:
2theta  I (rel.)
17.8  62
23.7  59
25.2  100
29.8  36
34.9  83
36.0  38
43.5  44
64.0  27

Structural model:
```
data_CsKICl
_chemical_formula_sum 'Cs1 K1 I1 Cl1'
_cell_length_a 4.991
_cell_length_b 4.991
_cell_length_c 7.509
_cell_angle_alpha 90.00
_cell_angle_beta 90.00
_cell_angle_gamma 90.00
_space_group_name_H-M_alt 'P 1'
_space_group_IT_number 1
loop_
_space_group_symop_operation_xyz
'x,y,z'
loop_
_atom_site_label
_atom_site_type_symbol
_atom_site_fract_x
_atom_site_fract_y
_atom_site_fract_z
Cs1 Cs 0.000 0.000 0.000
K1 K 0.500 0.500 0.500
I1 I 0.000 0.000 0.500
Cl1 Cl 0.500 0.500 0.000
```

Number 2 is which compound? CsSrF3